Entry 1:
Tb4BClO7: simulated X-ray powder pattern (CuKα), based on a DFT-relaxed cell (PBE, the Materials Project).
Intensities are scaled so that the largest is 100.

Main lines, by angle (10 to 90 degrees two-theta):
2θ 11.85, I = 26
2θ 24.26, I = 38
2θ 25.03, I = 40
2θ 29.51, I = 63
2θ 30.33, I = 100
2θ 30.84, I = 24
2θ 33.49, I = 59
2θ 35.76, I = 23
2θ 44.57, I = 24
2θ 47.18, I = 28
2θ 50.74, I = 29
2θ 54.36, I = 22

```
Tb4BClO7
1.0
8.7084 0.0000 0.0000
0.0000 8.1328 0.0000
-6.3938 0.0000 10.6582
Tb B Cl O
16 4 4 28
Direct
0.0732 0.1358 0.4197 Tb
0.0732 0.3642 0.9197 Tb
0.0820 0.6169 0.4136 Tb
0.0820 0.8831 0.9136 Tb
0.2995 0.1286 0.7806 Tb
0.2995 0.3714 0.2806 Tb
0.3154 0.6157 0.7785 Tb
0.3154 0.8843 0.2785 Tb
0.6846 0.1157 0.7215 Tb
0.6846 0.3843 0.2215 Tb
0.7005 0.6286 0.7194 Tb
0.7005 0.8714 0.2194 Tb
0.9180 0.1169 0.0864 Tb
0.9180 0.3831 0.5864 Tb
0.9268 0.6358 0.0803 Tb
0.9268 0.8642 0.5803 Tb
0.3687 0.1278 0.0871 B
0.3687 0.3722 0.5871 B
0.6313 0.6278 0.4129 B
0.6313 0.8722 0.9129 B
0.3819 0.6367 0.0368 Cl
0.3819 0.8633 0.5368 Cl
0.6181 0.1367 0.4632 Cl
0.6181 0.3633 0.9632 Cl
0.0413 0.1229 0.5967 O
0.0413 0.3771 0.0967 O
0.0653 0.6239 0.5916 O
0.0653 0.8761 0.0916 O
0.1747 0.1155 0.2790 O
0.1747 0.3845 0.7790 O
0.1939 0.6357 0.2772 O
0.1939 0.8643 0.7772 O
0.2780 0.1188 0.9571 O
0.2780 0.3812 0.4571 O
0.3911 0.2197 0.6417 O
0.3911 0.2803 0.1417 O
0.4236 0.5139 0.6569 O
0.4236 0.9861 0.1569 O
0.5764 0.0139 0.8431 O
0.5764 0.4861 0.3431 O
0.6089 0.7197 0.8583 O
0.6089 0.7803 0.3583 O
0.7220 0.6188 0.5429 O
0.7220 0.8812 0.0429 O
0.8061 0.1357 0.2228 O
0.8061 0.3643 0.7228 O
0.8253 0.6155 0.2210 O
0.8253 0.8845 0.7210 O
0.9347 0.1239 0.9084 O
0.9347 0.3761 0.4084 O
0.9587 0.6229 0.9033 O
0.9587 0.8771 0.4033 O
```

---

Entry 2:
Tm4BClO7: simulated X-ray powder pattern (CuKα), based on a DFT-relaxed cell (PBE, the Materials Project).
Intensities are scaled so that the largest is 100.

Main lines, by angle (10 to 90 degrees two-theta):
2θ 11.95, I = 31
2θ 24.85, I = 39
2θ 25.09, I = 40
2θ 30.54, I = 61
2θ 30.98, I = 100
2θ 31.62, I = 24
2θ 34.05, I = 61
2θ 35.83, I = 24
2θ 45.60, I = 23
2θ 47.60, I = 26
2θ 52.51, I = 26
2θ 55.88, I = 35

```
Tm4BClO7
1.0
8.4908 0.0000 0.0000
0.0000 7.9571 0.0000
-5.9123 0.0000 10.5350
Tm B Cl O
16 4 4 28
Direct
0.0677 0.1393 0.4182 Tm
0.0677 0.3607 0.9182 Tm
0.0737 0.6174 0.4078 Tm
0.0737 0.8826 0.9078 Tm
0.2958 0.1247 0.7776 Tm
0.2958 0.3753 0.2776 Tm
0.3173 0.6147 0.7783 Tm
0.3173 0.8853 0.2783 Tm
0.6827 0.1147 0.7217 Tm
0.6827 0.3853 0.2217 Tm
0.7042 0.6247 0.7224 Tm
0.7042 0.8753 0.2224 Tm
0.9263 0.1174 0.0922 Tm
0.9263 0.3826 0.5922 Tm
0.9323 0.6393 0.0818 Tm
0.9323 0.8607 0.5818 Tm
0.3698 0.1306 0.0861 B
0.3698 0.3694 0.5861 B
0.6302 0.6306 0.4139 B
0.6302 0.8694 0.9139 B
0.3806 0.6516 0.0306 Cl
0.3806 0.8484 0.5306 Cl
0.6194 0.1516 0.4694 Cl
0.6194 0.3484 0.9694 Cl
0.0400 0.1224 0.5972 O
0.0400 0.3776 0.0972 O
0.0745 0.6211 0.5927 O
0.0745 0.8789 0.0927 O
0.1798 0.1171 0.2824 O
0.1798 0.3829 0.7824 O
0.1894 0.6373 0.2729 O
0.1894 0.8627 0.7729 O
0.2719 0.1092 0.9558 O
0.2719 0.3908 0.4558 O
0.3867 0.2090 0.6341 O
0.3867 0.2910 0.1341 O
0.4391 0.5044 0.6667 O
0.4391 0.9956 0.1667 O
0.5609 0.0044 0.8333 O
0.5609 0.4956 0.3333 O
0.6133 0.7090 0.8659 O
0.6133 0.7910 0.3659 O
0.7281 0.6092 0.5442 O
0.7281 0.8908 0.0442 O
0.8106 0.1373 0.2271 O
0.8106 0.3627 0.7271 O
0.8202 0.6171 0.2176 O
0.8202 0.8829 0.7176 O
0.9255 0.1211 0.9073 O
0.9255 0.3789 0.4073 O
0.9600 0.6224 0.9028 O
0.9600 0.8776 0.4028 O
```

---

Entry 3:
Zn3B7ClO13: simulated X-ray powder pattern (CuKα), based on a DFT-relaxed cell (PBE, the Materials Project).
Intensities are scaled so that the largest is 100.

Main lines, by angle (10 to 90 degrees two-theta):
2θ 20.53, I = 29
2θ 25.15, I = 34
2θ 25.26, I = 30
2θ 29.21, I = 100
2θ 32.77, I = 53
2θ 36.03, I = 22
2θ 41.72, I = 29
2θ 41.86, I = 25
2θ 44.46, I = 18
2θ 49.34, I = 22
2θ 49.48, I = 29
2θ 51.86, I = 18

```
Zn3B7ClO13
1.0
4.3166 2.4922 7.0809
-4.3166 2.4922 7.0809
0.0000 -4.9843 7.0809
Zn B Cl O
6 14 2 26
Direct
0.0425 0.4782 0.4793 Zn
0.4782 0.4793 0.0425 Zn
0.4793 0.0425 0.4782 Zn
0.5425 0.9793 0.9782 Zn
0.9782 0.5425 0.9793 Zn
0.9793 0.9782 0.5425 Zn
0.0803 0.0798 0.7738 B
0.0798 0.7738 0.0803 B
0.1100 0.1100 0.1100 B
0.2535 0.7611 0.2548 B
0.2548 0.2536 0.7611 B
0.2611 0.7535 0.7548 B
0.2738 0.5798 0.5803 B
0.5803 0.2738 0.5798 B
0.5798 0.5803 0.2738 B
0.6100 0.6100 0.6100 B
0.7535 0.7548 0.2611 B
0.7548 0.2611 0.7535 B
0.7611 0.2548 0.2535 B
0.7738 0.0803 0.0798 B
0.2766 0.2766 0.2766 Cl
0.7766 0.7766 0.7766 Cl
0.1074 0.2552 0.7217 O
0.1135 0.9526 0.2718 O
0.1195 0.6963 0.9418 O
0.1963 0.6195 0.4418 O
0.2072 0.4422 0.7599 O
0.2217 0.7552 0.6074 O
0.2552 0.7217 0.1074 O
0.2599 0.9422 0.7072 O
0.2718 0.1135 0.9526 O
0.4418 0.1963 0.6195 O
0.4422 0.7599 0.2072 O
0.4526 0.6135 0.7718 O
0.4948 0.4948 0.4948 O
0.6074 0.2217 0.7552 O
0.6135 0.7718 0.4526 O
0.6195 0.4418 0.1963 O
0.6963 0.9418 0.1195 O
0.7072 0.2599 0.9422 O
0.7217 0.1074 0.2552 O
0.7552 0.6074 0.2217 O
0.7599 0.2072 0.4422 O
0.7718 0.4526 0.6135 O
0.9418 0.1195 0.6963 O
0.9422 0.7072 0.2599 O
0.9526 0.2718 0.1135 O
0.9948 0.9948 0.9948 O
```